Diffraction record for K3Zn2O4. The powder diffraction line list is theoretical, not measured: it uses a cell relaxed with GGA-PBE and Cu Kα (λ = 1.5418 Å).
Lines closer than 0.1° are merged.

The 8 most intense peaks (2θ from 15° to 90°), by angle:
d = 5.891 Å, rel. 57; d = 3.108 Å, rel. 66; d = 3.011 Å, rel. 100; d = 2.874 Å, rel. 27; d = 2.692 Å, rel. 29; d = 2.281 Å, rel. 44; d = 2.266 Å, rel. 30; d = 2.231 Å, rel. 44

Atomic structure:
```
K3Zn2O4
1.0
5.8964 -4.5311 0.0000
5.8964 4.5311 0.0000
-0.2449 0.0000 5.7471
K Zn O
6 4 8
Cartesian
5.7127 3.6369 4.3103
4.4073 1.3004 2.6330
7.2630 1.3004 0.2405
4.2848 -1.3004 5.5066
7.1406 -1.3004 3.1140
5.8352 -3.6369 1.4368
2.2457 1.0453 5.3209
2.3682 -1.0453 2.4474
9.1797 1.0453 3.2997
9.3022 -1.0453 0.4262
1.8866 0.5819 3.4373
4.0903 1.7630 5.6307
2.0091 -0.5819 0.5638
7.3351 1.7630 2.9899
4.2128 -1.7630 2.7572
9.5388 0.5819 5.1833
7.4575 -1.7630 0.1163
9.6613 -0.5819 2.3097
```